# 1
This entry pairs a crystal structure of Cu5Au4 with its calculated PXRD pattern. Radiation: a wavelength of 1.5418 Å. Structure: DFT lattice parameters and positions (PBE).

Largest 10 diffraction maxima, in order of rising 2θ, 2θ = 10–90°:
| 2θ/deg | d [Å] | I/Imax |
| --- | --- | --- |
| 19.34 | 4.589 | 20 |
| 23.11 | 3.849 | 23 |
| 31.08 | 2.877 | 18 |
| 33.44 | 2.679 | 17 |
| 39.76 | 2.267 | 100 |
| 39.99 | 2.254 | 49 |
| 40.52 | 2.226 | 48 |
| 45.48 | 1.994 | 36 |
| 45.92 | 1.976 | 34 |
| 48.18 | 1.889 | 33 |

a = 4.6626 Å, b = 4.8697 Å, c = 6.2432 Å
α = 73.86°, β = 81.72°, γ = 82.08°
Sites, in units of the cell vectors:
Cu 0.0000 0.0000 0.0000
Cu 0.1138 0.5570 0.7887
Cu 0.2262 0.0944 0.5620
Cu 0.7738 0.9056 0.4380
Cu 0.8862 0.4430 0.2113
Au 0.2991 0.6605 0.3517
Au 0.4373 0.2187 0.1187
Au 0.5627 0.7813 0.8813
Au 0.7009 0.3395 0.6483


# 2
This entry pairs a crystal structure of Cs2LiNbSe4 with its calculated PXRD pattern. Radiation: a wavelength of 1.5418 Å. Structure: DFT lattice parameters and positions (PBE).

Largest 10 diffraction maxima, in order of rising 2θ, 2θ = 10–90°:
| 2θ/deg | d [Å] | I/Imax |
| --- | --- | --- |
| 18.60 | 4.770 | 26 |
| 23.78 | 3.742 | 28 |
| 25.31 | 3.519 | 100 |
| 27.38 | 3.258 | 19 |
| 28.83 | 3.096 | 34 |
| 29.67 | 3.011 | 17 |
| 35.62 | 2.520 | 24 |
| 42.25 | 2.139 | 14 |
| 47.23 | 1.925 | 21 |
| 49.02 | 1.858 | 16 |

a = 14.9717 Å, b = 13.3928 Å, c = 7.9963 Å
α = 84.87°, β = 62.99°, γ = 32.14°
Sites, in units of the cell vectors:
Cs 0.0524 0.0524 0.6976
Cs 0.3024 0.3024 0.9476
Cs 0.6976 0.6976 0.0524
Cs 0.9476 0.9476 0.3024
Li 0.1250 0.1250 0.1250
Li 0.8750 0.8750 0.8750
Nb 0.3750 0.3750 0.3750
Nb 0.6250 0.6250 0.6250
Se 0.0039 0.3507 0.4363
Se 0.2910 0.5637 0.6493
Se 0.3507 0.0039 0.7090
Se 0.4363 0.7090 0.0039
Se 0.5637 0.2910 0.9961
Se 0.6493 0.9961 0.2910
Se 0.7090 0.4363 0.3507
Se 0.9961 0.6493 0.5637


# 3
This entry pairs a crystal structure of Rb3SnS4 with its calculated PXRD pattern. Radiation: a wavelength of 1.5418 Å. Structure: DFT lattice parameters and positions (PBE).

Largest 10 diffraction maxima, in order of rising 2θ, 2θ = 10–90°:
| 2θ/deg | d [Å] | I/Imax |
| --- | --- | --- |
| 20.18 | 4.400 | 31 |
| 20.33 | 4.368 | 70 |
| 22.70 | 3.918 | 75 |
| 23.18 | 3.836 | 54 |
| 23.32 | 3.815 | 100 |
| 30.66 | 2.916 | 40 |
| 35.43 | 2.534 | 49 |
| 40.21 | 2.243 | 68 |
| 42.49 | 2.127 | 45 |
| 42.71 | 2.117 | 31 |

a = 10.0619 Å, b = 8.8001 Å, c = 7.8351 Å
α = 90.00°, β = 90.00°, γ = 90.00°
Sites, in units of the cell vectors:
Rb 0.0000 0.1230 0.0000
Rb 0.2350 0.3315 0.4918
Rb 0.2650 0.6685 0.9918
Rb 0.5000 0.8770 0.5000
Rb 0.7350 0.6685 0.9918
Rb 0.7650 0.3315 0.4918
Sn 0.0000 0.8182 0.4821
Sn 0.5000 0.1818 0.9821
S 0.0000 0.0809 0.5695
S 0.0000 0.7870 0.1769
S 0.2025 0.6981 0.5781
S 0.2975 0.3019 0.0781
S 0.5000 0.2130 0.6769
S 0.5000 0.9191 0.0695
S 0.7025 0.3019 0.0781
S 0.7975 0.6981 0.5781


# 4
This entry pairs a crystal structure of Fe2Pd5Au2 with its calculated PXRD pattern. Radiation: a wavelength of 1.5418 Å. Structure: DFT lattice parameters and positions (PBE).

Largest 10 diffraction maxima, in order of rising 2θ, 2θ = 10–90°:
| 2θ/deg | d [Å] | I/Imax |
| --- | --- | --- |
| 24.26 | 3.669 | 20 |
| 39.43 | 2.285 | 100 |
| 39.63 | 2.274 | 99 |
| 45.43 | 1.996 | 33 |
| 45.59 | 1.990 | 33 |
| 46.88 | 1.938 | 32 |
| 67.34 | 1.391 | 20 |
| 67.46 | 1.388 | 20 |
| 79.74 | 1.203 | 12 |
| 80.35 | 1.195 | 13 |

a = 6.2949 Å, b = 6.2949 Å, c = 6.2810 Å
α = 107.20°, β = 107.20°, γ = 35.86°
Sites, in units of the cell vectors:
Fe 0.1229 0.1229 0.1804
Fe 0.8771 0.8771 0.8196
Pd 0.0000 0.0000 0.5000
Pd 0.2255 0.2255 0.8349
Pd 0.3336 0.3336 0.5056
Pd 0.6664 0.6664 0.4944
Pd 0.7745 0.7745 0.1651
Au 0.4463 0.4463 0.1627
Au 0.5537 0.5537 0.8373